Diffraction record for FeB2C6O6F8. The X-ray powder pattern is computed, not measured: it uses a PBE+U-relaxed structure and CuKα.
Peak positions follow from Bragg's law for the DFT cell and can differ from measured ones.

Crystal structure
Cell lengths 7.638, 7.638, 11.144 Å; angles 90.00, 90.00, 90.00 degrees
Space group I4/m (No. 87)
Symmetry-distinct sites (fractional):
Fe1 0.000 0.000 0.000 [2 per cell]
B1 0.000 0.500 0.250 [4 per cell]
C1 0.000 0.000 0.173 [4 per cell]
C2 0.147 0.796 0.000 [8 per cell]
O1 0.000 0.000 0.274 [4 per cell]
O2 0.176 0.265 0.500 [8 per cell]
F1 0.065 0.363 0.176 [16 per cell]

Principal peaks in the range 10 to 90 degrees two-theta, low angle first:
hkl 1 0 1, d 6.300, 14.1°, I = 1000; hkl 1 1 2, d 3.878, 22.9°, I = 383; hkl 2 0 2, d 3.150, 28.3°, I = 304; hkl 2 1 3, d 2.514, 35.7°, I = 600; hkl 3 0 1, d 2.479, 36.2°, I = 218; hkl 1 3 0, d 2.415, 37.2°, I = 224